(1)
Computed powder XRD pattern
Compound: NpHg2F11
Radiation: Cu Kα X-rays
Structure: a DFT-relaxed cell (GGA-PBE, Alexandria)
Lines closer than 0.1° are merged.

Atomic structure:
```
NpHg2F11
1.0
-3.934 5.436 6.128
3.934 -5.436 6.128
3.934 5.436 -6.128
Np Hg F
2 4 22
direct
0.250 0.250 0.000
0.750 0.750 0.000
0.172 0.629 0.801
0.328 0.129 0.456
0.672 0.871 0.544
0.828 0.371 0.199
0.000 0.500 0.500
0.005 0.082 0.777
0.101 0.365 0.155
0.196 0.418 0.924
0.210 0.946 0.845
0.215 0.341 0.556
0.285 0.841 0.126
0.290 0.135 0.736
0.304 0.228 0.223
0.399 0.554 0.264
0.495 0.272 0.076
0.500 0.000 0.500
0.505 0.728 0.924
0.601 0.446 0.736
0.696 0.772 0.777
0.710 0.865 0.264
0.715 0.159 0.874
0.785 0.659 0.444
0.790 0.054 0.155
0.804 0.582 0.076
0.899 0.635 0.845
0.995 0.918 0.223
```

Largest 10 diffraction maxima, sorted by position, 10° ≤ 2θ ≤ 80°:
- 20.10°, I 100
- 21.15°, I 29
- 21.85°, I 58
- 25.15°, I 40
- 27.09°, I 28
- 29.14°, I 20
- 40.21°, I 30
- 44.32°, I 19
- 45.17°, I 23
- 45.75°, I 14

(2)
Computed powder XRD pattern
Compound: Hg2O2F5
Radiation: Cu Kα X-rays
Structure: a DFT-relaxed cell (GGA-PBE, Alexandria)
Lines closer than 0.1° are merged.

Atomic structure:
```
Hg2O2F5
1.0
7.117 -2.439 0.000
7.117 2.439 0.000
-0.023 0.000 4.375
Hg O F
2 2 5
direct
0.154 0.154 0.002
0.846 0.846 0.998
0.457 0.457 0.509
0.543 0.543 0.491
0.000 0.000 0.000
0.145 0.145 0.502
0.308 0.308 0.004
0.692 0.692 0.996
0.855 0.855 0.498
```

Largest 10 diffraction maxima, sorted by position, 10° ≤ 2θ ≤ 80°:
- 12.44°, I 29
- 19.23°, I 67
- 20.30°, I 87
- 25.02°, I 32
- 26.20°, I 100
- 28.10°, I 64
- 33.30°, I 26
- 36.85°, I 38
- 41.27°, I 27
- 42.43°, I 28

(3)
Computed powder XRD pattern
Compound: HgO2F6
Radiation: Cu Kα X-rays
Structure: a DFT-relaxed cell (GGA-PBE, Alexandria)
Lines closer than 0.1° are merged.

Atomic structure:
```
HgO2F6
1.0
3.568 0.000 0.000
0.066 6.581 0.000
0.467 3.076 6.948
Hg O F
1 2 6
direct
0.000 0.000 0.000
0.322 0.334 0.277
0.678 0.666 0.723
0.195 0.334 0.458
0.325 0.100 0.311
0.393 0.766 0.118
0.607 0.234 0.882
0.675 0.900 0.689
0.805 0.666 0.542
```

Largest 10 diffraction maxima, sorted by position, 10° ≤ 2θ ≤ 80°:
- 12.74°, I 91
- 14.72°, I 95
- 15.08°, I 72
- 23.14°, I 54
- 23.83°, I 56
- 27.11°, I 23
- 28.88°, I 100
- 35.12°, I 24
- 35.45°, I 22
- 37.01°, I 24

(4)
Computed powder XRD pattern
Compound: Hg6OF8
Radiation: Cu Kα X-rays
Structure: a DFT-relaxed cell (GGA-PBE, Alexandria)
Lines closer than 0.1° are merged.

Atomic structure:
```
Hg6OF8
1.0
3.386 1.955 5.963
-3.386 1.955 5.963
0.000 -3.910 5.963
Hg O F
6 1 8
direct
0.095 0.363 0.763
0.237 0.905 0.637
0.363 0.763 0.095
0.637 0.237 0.905
0.763 0.095 0.363
0.905 0.637 0.237
0.000 0.000 0.000
0.084 0.754 0.521
0.246 0.479 0.916
0.352 0.352 0.352
0.479 0.916 0.246
0.521 0.084 0.754
0.648 0.648 0.648
0.754 0.521 0.084
0.916 0.246 0.479
```

Largest 10 diffraction maxima, sorted by position, 10° ≤ 2θ ≤ 80°:
- 26.32°, I 28
- 29.97°, I 26
- 30.35°, I 100
- 40.30°, I 31
- 41.02°, I 9
- 46.45°, I 25
- 53.45°, I 23
- 56.26°, I 19
- 56.50°, I 13
- 73.47°, I 8

(5)
Computed powder XRD pattern
Compound: Hg3OF4
Radiation: Cu Kα X-rays
Structure: a DFT-relaxed cell (GGA-PBE, Alexandria)
Lines closer than 0.1° are merged.

Atomic structure:
```
Hg3OF4
1.0
5.553 -3.143 0.000
5.553 3.143 0.000
-3.094 0.000 8.291
Hg O F
6 2 8
direct
0.005 0.995 0.500
0.245 0.317 0.912
0.317 0.245 0.412
0.662 0.679 0.217
0.679 0.662 0.717
0.995 0.005 0.000
0.014 0.671 0.839
0.671 0.014 0.339
0.066 0.331 0.130
0.209 0.884 0.261
0.331 0.066 0.630
0.370 0.606 0.575
0.460 0.939 0.956
0.606 0.370 0.075
0.884 0.209 0.761
0.939 0.460 0.456
```

Largest 10 diffraction maxima, sorted by position, 10° ≤ 2θ ≤ 80°:
- 22.26°, I 43
- 24.63°, I 20
- 28.40°, I 30
- 29.45°, I 100
- 33.67°, I 9
- 36.38°, I 25
- 44.61°, I 11
- 44.76°, I 21
- 50.94°, I 26
- 52.94°, I 11

(6)
Computed powder XRD pattern
Compound: Hg3O2F2
Radiation: Cu Kα X-rays
Structure: a DFT-relaxed cell (GGA-PBE, Alexandria)
Lines closer than 0.1° are merged.

Atomic structure:
```
Hg3O2F2
1.0
6.022 0.000 0.000
0.000 6.946 0.000
-3.394 0.000 5.926
Hg O F
6 4 4
direct
0.000 0.000 0.000
0.000 0.500 0.500
0.348 0.083 0.709
0.348 0.417 0.209
0.652 0.583 0.791
0.652 0.917 0.291
0.347 0.127 0.072
0.347 0.373 0.572
0.653 0.627 0.428
0.653 0.873 0.928
0.115 0.643 0.917
0.115 0.857 0.417
0.885 0.143 0.583
0.885 0.357 0.083
```

Largest 10 diffraction maxima, sorted by position, 10° ≤ 2θ ≤ 80°:
- 21.28°, I 25
- 25.65°, I 47
- 26.18°, I 93
- 29.82°, I 49
- 30.70°, I 91
- 32.47°, I 100
- 36.98°, I 36
- 42.72°, I 18
- 47.87°, I 24
- 51.54°, I 40

(7)
Computed powder XRD pattern
Compound: Hg5O2F4
Radiation: Cu Kα X-rays
Structure: a DFT-relaxed cell (GGA-PBE, Alexandria)
Lines closer than 0.1° are merged.

Atomic structure:
```
Hg5O2F4
1.0
3.756 0.000 0.000
-1.068 5.942 0.000
-0.411 -0.749 9.378
Hg O F
5 2 4
direct
0.000 0.000 0.000
0.030 0.095 0.637
0.188 0.341 0.347
0.495 0.762 0.330
0.681 0.494 0.847
0.017 0.997 0.421
0.076 0.249 0.849
0.387 0.784 0.827
0.538 0.077 0.166
0.618 0.383 0.603
0.872 0.670 0.082
```

Largest 10 diffraction maxima, sorted by position, 10° ≤ 2θ ≤ 80°:
- 18.93°, I 65
- 23.24°, I 100
- 25.14°, I 59
- 26.04°, I 92
- 27.69°, I 70
- 28.55°, I 57
- 32.42°, I 85
- 34.51°, I 59
- 38.86°, I 54
- 39.17°, I 54

(8)
Computed powder XRD pattern
Compound: Hg2OF2
Radiation: Cu Kα X-rays
Structure: a DFT-relaxed cell (GGA-PBE, Alexandria)
Lines closer than 0.1° are merged.

Atomic structure:
```
Hg2OF2
1.0
8.320 0.000 0.000
0.000 6.800 0.000
-0.438 0.000 6.356
Hg O F
8 4 8
direct
0.057 0.120 0.263
0.057 0.380 0.763
0.341 0.534 0.277
0.341 0.966 0.777
0.659 0.034 0.223
0.659 0.466 0.723
0.943 0.620 0.237
0.943 0.880 0.737
0.132 0.098 0.645
0.132 0.402 0.145
0.868 0.598 0.855
0.868 0.902 0.355
0.163 0.650 0.579
0.163 0.850 0.079
0.458 0.189 0.110
0.458 0.311 0.610
0.542 0.689 0.390
0.542 0.811 0.890
0.837 0.150 0.921
0.837 0.350 0.421
```

Largest 10 diffraction maxima, sorted by position, 10° ≤ 2θ ≤ 80°:
- 10.66°, I 23
- 21.45°, I 37
- 26.21°, I 15
- 28.09°, I 100
- 29.58°, I 56
- 29.80°, I 48
- 32.36°, I 17
- 38.78°, I 15
- 51.55°, I 17
- 58.06°, I 17

(9)
Computed powder XRD pattern
Compound: Hg2PO3F
Radiation: Cu Kα X-rays
Structure: a DFT-relaxed cell (GGA-PBE, Alexandria)
Lines closer than 0.1° are merged.

Atomic structure:
```
Hg2PO3F
1.0
-4.734 6.244 4.498
4.734 -6.244 4.498
4.734 6.244 -4.498
Hg P O F
8 4 12 4
direct
0.115 0.004 0.687
0.182 0.496 0.111
0.318 0.428 0.313
0.385 0.072 0.889
0.615 0.928 0.111
0.682 0.572 0.687
0.818 0.504 0.889
0.885 0.996 0.313
0.247 0.450 0.697
0.253 0.950 0.203
0.747 0.050 0.797
0.753 0.550 0.303
0.098 0.218 0.603
0.115 0.718 0.119
0.162 0.057 0.218
0.338 0.557 0.895
0.385 0.505 0.603
0.402 0.005 0.119
0.598 0.995 0.881
0.615 0.495 0.397
0.662 0.443 0.105
0.838 0.943 0.782
0.885 0.282 0.881
0.902 0.782 0.397
0.137 0.536 0.673
0.363 0.036 0.399
0.637 0.964 0.601
0.863 0.464 0.327
```

Largest 10 diffraction maxima, sorted by position, 10° ≤ 2θ ≤ 80°:
- 18.75°, I 74
- 19.73°, I 85
- 27.35°, I 100
- 28.59°, I 26
- 29.19°, I 27
- 34.47°, I 68
- 34.99°, I 32
- 35.49°, I 24
- 39.99°, I 37
- 53.90°, I 31

(10)
Computed powder XRD pattern
Compound: Ta2Hg3SO4F10
Radiation: Cu Kα X-rays
Structure: a DFT-relaxed cell (GGA-PBE, Alexandria)
Lines closer than 0.1° are merged.

Atomic structure:
```
Ta2Hg3SO4F10
1.0
0.000 9.409 4.786
7.950 0.000 4.786
7.950 9.409 0.000
Ta Hg S O F
4 6 2 8 20
direct
0.134 0.866 0.254
0.504 0.996 0.384
0.866 0.134 0.746
0.996 0.504 0.116
0.066 0.495 0.734
0.243 0.243 0.757
0.493 0.493 0.007
0.495 0.066 0.705
0.516 0.545 0.184
0.545 0.516 0.755
0.634 0.634 0.366
0.884 0.884 0.616
0.008 0.953 0.422
0.533 0.558 0.360
0.558 0.533 0.549
0.633 0.828 0.297
0.701 0.890 0.692
0.828 0.633 0.242
0.890 0.701 0.717
0.953 0.008 0.617
0.031 0.999 0.156
0.072 0.320 0.524
0.094 0.436 0.219
0.145 0.394 0.990
0.167 0.726 0.930
0.233 0.726 0.357
0.260 0.779 0.105
0.294 0.806 0.573
0.320 0.072 0.083
0.394 0.145 0.471
0.436 0.094 0.251
0.566 0.893 0.524
0.677 0.923 0.956
0.726 0.167 0.178
0.726 0.233 0.684
0.779 0.260 0.856
0.806 0.294 0.327
0.893 0.566 0.017
0.923 0.677 0.444
0.999 0.031 0.814
```

Largest 10 diffraction maxima, sorted by position, 10° ≤ 2θ ≤ 80°:
- 11.77°, I 40
- 19.72°, I 51
- 20.82°, I 89
- 21.95°, I 49
- 23.67°, I 100
- 23.87°, I 62
- 29.42°, I 35
- 35.84°, I 30
- 37.59°, I 30
- 44.41°, I 28

(11)
Computed powder XRD pattern
Compound: SiHg2O4F6
Radiation: Cu Kα X-rays
Structure: a DFT-relaxed cell (GGA-PBE, Alexandria)
Lines closer than 0.1° are merged.

Atomic structure:
```
SiHg2O4F6
1.0
5.118 0.000 0.000
-0.360 5.193 0.000
-1.339 -1.939 6.715
Si Hg O F
1 2 4 6
direct
0.000 0.000 0.000
0.000 0.000 0.500
0.500 0.500 0.000
0.305 0.375 0.652
0.358 0.543 0.551
0.642 0.457 0.449
0.695 0.625 0.348
0.137 0.324 0.122
0.208 0.888 0.174
0.237 0.970 0.857
0.763 0.030 0.143
0.792 0.112 0.826
0.863 0.676 0.878
```

Largest 10 diffraction maxima, sorted by position, 10° ≤ 2θ ≤ 80°:
- 18.99°, I 67
- 19.77°, I 71
- 23.60°, I 100
- 24.40°, I 38
- 26.55°, I 58
- 26.80°, I 66
- 34.92°, I 45
- 36.00°, I 51
- 38.51°, I 37
- 40.46°, I 43